(1)
This entry pairs a crystal structure of In12Bi2Pb7 with its theoretical powder X-ray diffraction pattern. Radiation: CuKα. Structure: a crystal structure in Alexandria, relaxed with GGA-PBE.
No peak broadening, texture or thermal motion is included.

Structure:
```
data_In12Bi2Pb7
_symmetry_space_group_name_H-M 'P 1'
_symmetry_Int_Tables_number 1
_cell_length_a 14.6339
_cell_length_b 3.3595
_cell_length_c 14.6368
_cell_angle_alpha 90.00
_cell_angle_beta 119.95
_cell_angle_gamma 90.00
loop_
_symmetry_equiv_pos_as_xyz
'x,y,z'
loop_
_atom_site_label
_atom_site_type_symbol
_atom_site_fract_x
_atom_site_fract_y
_atom_site_fract_z
In1 In 0.0000 0.0000 0.0000
In2 In 0.0267 0.5000 0.7975
In3 In 0.1063 0.0000 0.4092
In4 In 0.1827 0.5000 0.2373
In5 In 0.3090 0.5000 0.6386
In6 In 0.4056 0.0000 0.2647
In7 In 0.4680 0.5000 0.0798
In8 In 0.5563 0.0000 0.7006
In9 In 0.6971 0.0000 0.1063
In10 In 0.7518 0.5000 0.9237
In11 In 0.8415 0.0000 0.5500
In12 In 0.8691 0.5000 0.3547
Bi1 Bi 0.2677 0.0000 0.8383
Bi2 Bi 0.6012 0.5000 0.5053
Pb1 Pb 0.0728 0.5000 0.6041
Pb2 Pb 0.2284 0.5000 0.0335
Pb3 Pb 0.3610 0.0000 0.4622
Pb4 Pb 0.5023 0.5000 0.8780
Pb5 Pb 0.6442 0.0000 0.3082
Pb6 Pb 0.7983 0.0000 0.7453
Pb7 Pb 0.9345 0.5000 0.1719
```

Principal peaks in the range 2θ from 10° to 80°, in order of falling intensity:
two_theta	I_rel
32.36	100
32.55	63
64.95	27
57.84	18
57.72	18
46.56	17
67.74	10
37.01	10
18.52	10
30.11	10



(2)
This entry pairs a crystal structure of AcLaPrCo with its theoretical powder X-ray diffraction pattern. Radiation: CuKα. Structure: a crystal structure in Alexandria, relaxed with GGA-PBE.
No peak broadening, texture or thermal motion is included.

Structure:
```
data_AcLaPrCo
_symmetry_space_group_name_H-M 'P 1'
_symmetry_Int_Tables_number 1
_cell_length_a 12.5787
_cell_length_b 5.6300
_cell_length_c 4.0829
_cell_angle_alpha 90.00
_cell_angle_beta 108.87
_cell_angle_gamma 90.00
loop_
_symmetry_equiv_pos_as_xyz
'x,y,z'
loop_
_atom_site_label
_atom_site_type_symbol
_atom_site_fract_x
_atom_site_fract_y
_atom_site_fract_z
Ac1 Ac 0.0000 0.0000 0.0000
Ac2 Ac 0.5000 0.5000 0.0000
La1 La 0.3210 0.0000 0.3210
La2 La 0.8210 0.5000 0.3210
Pr1 Pr 0.1648 0.5000 0.6643
Pr2 Pr 0.6648 0.0000 0.6643
Co1 Co 0.1711 0.0000 0.6705
Co2 Co 0.6711 0.5000 0.6705
```

Principal peaks in the range 2θ from 10° to 80°, in order of falling intensity:
two_theta	I_rel
31.44	100
26.98	90
27.50	85
45.32	73
31.79	49
53.00	29
53.90	27
17.42	23
44.37	21
55.61	20



(3)
This entry pairs a crystal structure of CsNaHg2Sb with its theoretical powder X-ray diffraction pattern. Radiation: CuKα. Structure: a crystal structure in Alexandria, relaxed with GGA-PBE.
No peak broadening, texture or thermal motion is included.

Structure:
```
data_CsNaHg2Sb
_symmetry_space_group_name_H-M 'P 1'
_symmetry_Int_Tables_number 1
_cell_length_a 5.0472
_cell_length_b 5.3965
_cell_length_c 12.8645
_cell_angle_alpha 90.00
_cell_angle_beta 90.00
_cell_angle_gamma 90.00
loop_
_symmetry_equiv_pos_as_xyz
'x,y,z'
loop_
_atom_site_label
_atom_site_type_symbol
_atom_site_fract_x
_atom_site_fract_y
_atom_site_fract_z
Cs1 Cs 0.0000 0.0000 0.0000
Cs2 Cs 0.5000 0.5000 0.5000
Na1 Na 0.0000 0.5000 0.7392
Na2 Na 0.5000 0.0000 0.2392
Hg1 Hg 0.0000 0.0000 0.3895
Hg2 Hg 0.0000 0.5000 0.2518
Hg3 Hg 0.5000 0.0000 0.7518
Hg4 Hg 0.5000 0.5000 0.8895
Sb1 Sb 0.0000 0.0000 0.6244
Sb2 Sb 0.5000 0.5000 0.1244
```

Principal peaks in the range 2θ from 10° to 80°, in order of falling intensity:
two_theta	I_rel
27.90	100
26.55	57
37.10	50
18.89	46
33.20	46
35.57	38
27.29	38
49.45	30
44.94	28
38.77	27



(4)
This entry pairs a crystal structure of Ba5Hg with its theoretical powder X-ray diffraction pattern. Radiation: CuKα. Structure: a crystal structure in Alexandria, relaxed with GGA-PBE.
No peak broadening, texture or thermal motion is included.

Structure:
```
data_Ba5Hg
_symmetry_space_group_name_H-M 'P 1'
_symmetry_Int_Tables_number 1
_cell_length_a 10.2293
_cell_length_b 10.2293
_cell_length_c 10.2293
_cell_angle_alpha 128.24
_cell_angle_beta 128.24
_cell_angle_gamma 76.24
loop_
_symmetry_equiv_pos_as_xyz
'x,y,z'
loop_
_atom_site_label
_atom_site_type_symbol
_atom_site_fract_x
_atom_site_fract_y
_atom_site_fract_z
Ba1 Ba 0.0000 0.0000 0.0000
Ba2 Ba 0.0207 0.5207 0.8278
Ba3 Ba 0.1928 0.0207 0.5000
Ba4 Ba 0.3072 0.8072 0.8278
Ba5 Ba 0.4793 0.3072 0.5000
Ba6 Ba 0.5000 0.5000 0.0000
Ba7 Ba 0.5207 0.6928 0.5000
Ba8 Ba 0.6928 0.1928 0.1722
Ba9 Ba 0.8072 0.9793 0.5000
Ba10 Ba 0.9793 0.4793 0.1722
Hg1 Hg 0.2500 0.2500 0.0000
Hg2 Hg 0.7500 0.7500 0.0000
```

Principal peaks in the range 2θ from 10° to 80°, in order of falling intensity:
two_theta	I_rel
27.85	100
31.68	100
29.89	98
26.26	93
22.94	77
48.83	53
28.26	37
45.12	34
14.02	34
46.52	33



(5)
This entry pairs a crystal structure of Y4AsP3 with its theoretical powder X-ray diffraction pattern. Radiation: CuKα. Structure: a crystal structure in Alexandria, relaxed with GGA-PBE.
No peak broadening, texture or thermal motion is included.

Structure:
```
data_Y4AsP3
_symmetry_space_group_name_H-M 'P 1'
_symmetry_Int_Tables_number 1
_cell_length_a 8.0873
_cell_length_b 11.4308
_cell_length_c 4.0407
_cell_angle_alpha 90.00
_cell_angle_beta 90.00
_cell_angle_gamma 90.00
loop_
_symmetry_equiv_pos_as_xyz
'x,y,z'
loop_
_atom_site_label
_atom_site_type_symbol
_atom_site_fract_x
_atom_site_fract_y
_atom_site_fract_z
Y1 Y 0.0000 0.2477 0.0000
Y2 Y 0.0000 0.7523 0.0000
Y3 Y 0.2454 0.0000 0.5000
Y4 Y 0.2546 0.5000 0.5000
Y5 Y 0.5000 0.2523 0.0000
Y6 Y 0.5000 0.7477 0.0000
Y7 Y 0.7454 0.5000 0.5000
Y8 Y 0.7546 0.0000 0.5000
As1 As 0.0000 0.5000 0.0000
As2 As 0.5000 0.0000 0.0000
P1 P 0.0000 0.0000 0.0000
P2 P 0.2500 0.2500 0.5000
P3 P 0.2500 0.7500 0.5000
P4 P 0.5000 0.5000 0.0000
P5 P 0.7500 0.2500 0.5000
P6 P 0.7500 0.7500 0.5000
```

Principal peaks in the range 2θ from 10° to 80°, in order of falling intensity:
two_theta	I_rel
31.30	100
44.85	71
74.19	31
27.02	25
55.70	24
53.14	12
65.30	11
72.01	4
25.85	3
13.41	2



(6)
This entry pairs a crystal structure of VPd4Pt2 with its theoretical powder X-ray diffraction pattern. Radiation: CuKα. Structure: a crystal structure in Alexandria, relaxed with GGA-PBE.
No peak broadening, texture or thermal motion is included.

Structure:
```
data_VPd4Pt2
_symmetry_space_group_name_H-M 'P 1'
_symmetry_Int_Tables_number 1
_cell_length_a 9.1610
_cell_length_b 5.0883
_cell_length_c 9.4438
_cell_angle_alpha 71.09
_cell_angle_beta 31.70
_cell_angle_gamma 77.22
loop_
_symmetry_equiv_pos_as_xyz
'x,y,z'
loop_
_atom_site_label
_atom_site_type_symbol
_atom_site_fract_x
_atom_site_fract_y
_atom_site_fract_z
V1 V 0.0000 0.0000 0.0000
V2 V 0.2500 0.2500 0.2500
Pd1 Pd 0.0810 0.9414 0.6636
Pd2 Pd 0.2741 0.4063 0.5670
Pd3 Pd 0.4063 0.2741 0.7526
Pd4 Pd 0.4974 0.6830 0.8437
Pd5 Pd 0.5864 0.9360 0.1690
Pd6 Pd 0.6830 0.4974 0.9759
Pd7 Pd 0.9360 0.5864 0.3086
Pd8 Pd 0.9414 0.0810 0.3140
Pt1 Pt 0.1233 0.6924 0.4060
Pt2 Pt 0.4717 0.8440 0.5576
Pt3 Pt 0.6924 0.1233 0.7783
Pt4 Pt 0.8440 0.4717 0.1267
```

Principal peaks in the range 2θ from 10° to 80°, in order of falling intensity:
two_theta	I_rel
36.05	100
41.04	98
40.26	85
41.94	83
38.89	62
42.32	61
29.70	51
44.14	39
37.30	35
45.69	26



(7)
This entry pairs a crystal structure of KRbAl2Cl8 with its theoretical powder X-ray diffraction pattern. Radiation: CuKα. Structure: a crystal structure in Alexandria, relaxed with GGA-PBE.
No peak broadening, texture or thermal motion is included.

Structure:
```
data_KRbAl2Cl8
_symmetry_space_group_name_H-M 'P 1'
_symmetry_Int_Tables_number 1
_cell_length_a 10.3972
_cell_length_b 10.3972
_cell_length_c 10.3972
_cell_angle_alpha 38.49
_cell_angle_beta 38.49
_cell_angle_gamma 38.49
loop_
_symmetry_equiv_pos_as_xyz
'x,y,z'
loop_
_atom_site_label
_atom_site_type_symbol
_atom_site_fract_x
_atom_site_fract_y
_atom_site_fract_z
K1 K 0.0000 0.0000 0.0000
Rb1 Rb 0.5000 0.5000 0.5000
Al1 Al 0.2437 0.2437 0.2437
Al2 Al 0.7563 0.7563 0.7563
Cl1 Cl 0.0532 0.4635 0.6793
Cl2 Cl 0.1690 0.1690 0.1690
Cl3 Cl 0.3207 0.9468 0.5365
Cl4 Cl 0.4635 0.6793 0.0532
Cl5 Cl 0.5365 0.3207 0.9468
Cl6 Cl 0.6793 0.0532 0.4635
Cl7 Cl 0.8310 0.8310 0.8310
Cl8 Cl 0.9468 0.5365 0.3207
```

Principal peaks in the range 2θ from 10° to 80°, in order of falling intensity:
two_theta	I_rel
27.64	100
32.08	81
19.37	66
46.13	35
45.87	34
26.00	30
28.98	29
27.84	28
37.39	20
42.19	16



(8)
This entry pairs a crystal structure of TeMo2S3 with its theoretical powder X-ray diffraction pattern. Radiation: CuKα. Structure: a crystal structure in Alexandria, relaxed with GGA-PBE.
No peak broadening, texture or thermal motion is included.

Structure:
```
data_TeMo2S3
_symmetry_space_group_name_H-M 'P 1'
_symmetry_Int_Tables_number 1
_cell_length_a 3.2775
_cell_length_b 3.2775
_cell_length_c 13.9711
_cell_angle_alpha 90.00
_cell_angle_beta 90.00
_cell_angle_gamma 120.00
loop_
_symmetry_equiv_pos_as_xyz
'x,y,z'
loop_
_atom_site_label
_atom_site_type_symbol
_atom_site_fract_x
_atom_site_fract_y
_atom_site_fract_z
Te1 Te 0.0000 0.0000 0.0000
Mo1 Mo 0.0000 0.0000 0.6198
Mo2 Mo 0.3333 0.6667 0.1395
S1 S 0.0000 0.0000 0.2470
S2 S 0.3333 0.6667 0.5097
S3 S 0.3333 0.6667 0.7298
```

Principal peaks in the range 2θ from 10° to 80°, in order of falling intensity:
two_theta	I_rel
12.67	100
37.09	77
45.55	48
31.52	34
34.10	24
56.12	21
75.05	14
69.20	12
57.79	11
62.44	9



(9)
This entry pairs a crystal structure of TmTh2Sb3 with its theoretical powder X-ray diffraction pattern. Radiation: CuKα. Structure: a crystal structure in Alexandria, relaxed with GGA-PBE.
No peak broadening, texture or thermal motion is included.

Structure:
```
data_TmTh2Sb3
_symmetry_space_group_name_H-M 'P 1'
_symmetry_Int_Tables_number 1
_cell_length_a 14.7630
_cell_length_b 14.0728
_cell_length_c 7.7109
_cell_angle_alpha 79.50
_cell_angle_beta 69.60
_cell_angle_gamma 30.90
loop_
_symmetry_equiv_pos_as_xyz
'x,y,z'
loop_
_atom_site_label
_atom_site_type_symbol
_atom_site_fract_x
_atom_site_fract_y
_atom_site_fract_z
Tm1 Tm 0.0415 0.0415 0.2085
Tm2 Tm 0.2085 0.2085 0.0415
Tm3 Tm 0.7915 0.7915 0.9585
Tm4 Tm 0.9585 0.9585 0.7915
Th1 Th 0.1264 0.1264 0.6236
Th2 Th 0.2929 0.2929 0.4571
Th3 Th 0.3764 0.3764 0.8736
Th4 Th 0.4571 0.4571 0.2929
Th5 Th 0.5429 0.5429 0.7071
Th6 Th 0.6236 0.6236 0.1264
Th7 Th 0.7071 0.7071 0.5429
Th8 Th 0.8736 0.8736 0.3764
Sb1 Sb 0.0407 0.5389 0.2003
Sb2 Sb 0.1137 0.6363 0.6363
Sb3 Sb 0.2003 0.7201 0.0407
Sb4 Sb 0.2799 0.7997 0.4611
Sb5 Sb 0.3637 0.8863 0.8863
Sb6 Sb 0.4611 0.9593 0.2799
Sb7 Sb 0.5389 0.0407 0.7201
Sb8 Sb 0.6363 0.1137 0.1137
Sb9 Sb 0.7201 0.2003 0.5389
Sb10 Sb 0.7997 0.2799 0.9593
Sb11 Sb 0.8863 0.3637 0.3637
Sb12 Sb 0.9593 0.4611 0.7997
```

Principal peaks in the range 2θ from 10° to 80°, in order of falling intensity:
two_theta	I_rel
28.36	100
40.54	77
66.43	36
50.21	28
73.74	26
58.67	13
24.50	12
47.94	7
64.54	3
79.04	2



(10)
This entry pairs a crystal structure of Cd3Pb7 with its theoretical powder X-ray diffraction pattern. Radiation: CuKα. Structure: a crystal structure in Alexandria, relaxed with GGA-PBE.
No peak broadening, texture or thermal motion is included.

Structure:
```
data_Cd3Pb7
_symmetry_space_group_name_H-M 'P 1'
_symmetry_Int_Tables_number 1
_cell_length_a 10.7658
_cell_length_b 10.7658
_cell_length_c 5.9936
_cell_angle_alpha 90.00
_cell_angle_beta 90.00
_cell_angle_gamma 120.00
loop_
_symmetry_equiv_pos_as_xyz
'x,y,z'
loop_
_atom_site_label
_atom_site_type_symbol
_atom_site_fract_x
_atom_site_fract_y
_atom_site_fract_z
Cd1 Cd 0.1917 0.3834 0.0000
Cd2 Cd 0.1917 0.8083 0.0000
Cd3 Cd 0.3834 0.1917 0.5000
Cd4 Cd 0.6166 0.8083 0.0000
Cd5 Cd 0.8083 0.1917 0.5000
Cd6 Cd 0.8083 0.6166 0.5000
Pb1 Pb 0.0900 0.5450 0.6677
Pb2 Pb 0.1136 0.2272 0.4837
Pb3 Pb 0.1136 0.8864 0.4837
Pb4 Pb 0.2272 0.1136 0.9837
Pb5 Pb 0.3333 0.6667 0.2483
Pb6 Pb 0.4550 0.5450 0.6677
Pb7 Pb 0.4550 0.9100 0.6677
Pb8 Pb 0.5450 0.0900 0.1677
Pb9 Pb 0.5450 0.4550 0.1677
Pb10 Pb 0.6667 0.3333 0.7483
Pb11 Pb 0.7728 0.8864 0.4837
Pb12 Pb 0.8864 0.1136 0.9837
Pb13 Pb 0.8864 0.7728 0.9837
Pb14 Pb 0.9100 0.4550 0.1677
```

Principal peaks in the range 2θ from 10° to 80°, in order of falling intensity:
two_theta	I_rel
32.45	100
29.40	58
31.35	36
52.62	31
50.89	27
35.61	23
68.83	18
28.73	18
33.29	17
25.27	16



(11)
This entry pairs a crystal structure of Zr5V5Si6 with its theoretical powder X-ray diffraction pattern. Radiation: CuKα. Structure: a crystal structure in Alexandria, relaxed with GGA-PBE.
No peak broadening, texture or thermal motion is included.

Structure:
```
data_Zr5V5Si6
_symmetry_space_group_name_H-M 'P 1'
_symmetry_Int_Tables_number 1
_cell_length_a 5.1193
_cell_length_b 7.5507
_cell_length_c 7.5507
_cell_angle_alpha 118.39
_cell_angle_beta 90.00
_cell_angle_gamma 90.00
loop_
_symmetry_equiv_pos_as_xyz
'x,y,z'
loop_
_atom_site_label
_atom_site_type_symbol
_atom_site_fract_x
_atom_site_fract_y
_atom_site_fract_z
Zr1 Zr 0.0000 0.0000 0.0000
Zr2 Zr 0.0000 0.2612 0.4995
Zr3 Zr 0.0000 0.4995 0.2612
Zr4 Zr 0.5000 0.0155 0.2602
Zr5 Zr 0.5000 0.2602 0.0155
V1 V 0.2509 0.5930 0.9283
V2 V 0.2509 0.9283 0.5930
V3 V 0.5000 0.5305 0.5305
V4 V 0.7491 0.5930 0.9283
V5 V 0.7491 0.9283 0.5930
Si1 Si 0.0000 0.2610 0.8544
Si2 Si 0.0000 0.6602 0.6602
Si3 Si 0.0000 0.8544 0.2610
Si4 Si 0.5000 0.2697 0.6602
Si5 Si 0.5000 0.6602 0.2697
Si6 Si 0.5000 0.8508 0.8508
```

Principal peaks in the range 2θ from 10° to 80°, in order of falling intensity:
two_theta	I_rel
40.72	100
39.76	64
42.68	63
40.35	62
28.94	35
35.06	31
29.40	29
36.53	28
37.66	26
42.35	24



(12)
This entry pairs a crystal structure of Pr3RuSCl with its theoretical powder X-ray diffraction pattern. Radiation: CuKα. Structure: a crystal structure in Alexandria, relaxed with GGA-PBE.
No peak broadening, texture or thermal motion is included.

Structure:
```
data_Pr3RuSCl
_symmetry_space_group_name_H-M 'P 1'
_symmetry_Int_Tables_number 1
_cell_length_a 7.6224
_cell_length_b 4.1286
_cell_length_c 10.4193
_cell_angle_alpha 90.00
_cell_angle_beta 92.35
_cell_angle_gamma 90.00
loop_
_symmetry_equiv_pos_as_xyz
'x,y,z'
loop_
_atom_site_label
_atom_site_type_symbol
_atom_site_fract_x
_atom_site_fract_y
_atom_site_fract_z
Pr1 Pr 0.0650 0.2500 0.2090
Pr2 Pr 0.2511 0.7500 0.4979
Pr3 Pr 0.3838 0.2500 0.7985
Pr4 Pr 0.6162 0.7500 0.2015
Pr5 Pr 0.7489 0.2500 0.5021
Pr6 Pr 0.9350 0.7500 0.7910
Ru1 Ru 0.0844 0.2500 0.6501
Ru2 Ru 0.9156 0.7500 0.3499
S1 S 0.4231 0.2500 0.3251
S2 S 0.5769 0.7500 0.6749
Cl1 Cl 0.2584 0.7500 0.9900
Cl2 Cl 0.7416 0.2500 0.0100
```

Principal peaks in the range 2θ from 10° to 80°, in order of falling intensity:
two_theta	I_rel
29.73	100
29.63	47
41.77	39
26.16	24
43.17	23
43.86	19
53.82	17
24.56	14
41.20	14
35.43	13



Q: What is the formula in the first record?
A: In12Bi2Pb7